1.
For KTlS14, a DFT-relaxed cell (PBE, Alexandria) gives the simulated X-ray diffraction stick pattern in this record (Cu Kα).
Peak positions follow from Bragg's law for the DFT cell and can differ from measured ones.

Top 10 peaks for 2θ = 10–90°, in order of rising 2θ:
d 7.562, I 32, (2 0 0)
d 6.338, I 33, (0 2 0)
d 4.930, I 90, (0 0 2)
d 3.986, I 28, (3 1 -2)
d 3.868, I 100, (1 3 -1)
d 3.781, I 83, (4 0 0)
d 3.658, I 32, (1 3 1)
d 3.310, I 48, (1 1 -3)
d 2.917, I 96, (3 3 1)
d 2.674, I 43, (4 2 -3)

Cell lengths 15.8310, 12.6604, 10.3220 Å; angles 90.00, 107.19, 90.00 degrees
Space group C2/c (No. 15)
Asymmetric unit:
K1 0.2500 0.2500 0.0000 [4 per cell]
Tl1 0.0000 0.0839 0.2500 [4 per cell]
S1 0.0079 0.2615 0.8557 [8 per cell]
S2 0.0335 0.4477 0.1787 [8 per cell]
S3 0.0380 0.1184 0.9333 [8 per cell]
S4 0.1375 0.3396 0.2382 [8 per cell]
S5 0.2081 0.0112 0.2661 [8 per cell]
S6 0.2277 0.3512 0.6948 [8 per cell]
S7 0.2439 0.4206 0.3664 [8 per cell]

2.
For BeAg2TeO4, a DFT-relaxed cell (PBE, Alexandria) gives the simulated X-ray diffraction stick pattern in this record (Cu Kα).
Peak positions follow from Bragg's law for the DFT cell and can differ from measured ones.

Top 10 peaks for 2θ = 10–90°, in order of rising 2θ:
d 4.553, I 30, (0 0 1)
d 4.481, I 33, (1 0 0)
d 3.030, I 100, (1 0 1)
d 2.626, I 59, (1 1 -1)
d 2.589, I 55, (-1 1 1)
d 2.530, I 54, (1 2 1)
d 2.509, I 76, (0 1 2)
d 2.493, I 70, (2 1 0)
d 2.043, I 38, (0 2 0)
d 1.854, I 24, (2 2 2)

Cell lengths 5.0448, 5.0844, 5.0919 Å; angles 64.12, 83.88, 63.34 degrees
Space group P1 (No. 1)
Asymmetric unit:
Be1 0.0000 0.0000 0.0000 [1 per cell]
Ag1 0.2335 0.4999 0.7739 [1 per cell]
Ag2 0.4670 0.9920 0.5542 [1 per cell]
Te1 0.6813 0.5058 0.3205 [1 per cell]
O1 0.3445 0.9510 0.0383 [1 per cell]
O2 0.7511 0.3378 0.0326 [1 per cell]
O3 0.9519 0.0530 0.6565 [1 per cell]
O4 0.9870 0.6509 0.2380 [1 per cell]

3.
For BaCdTe4Pb2, a DFT-relaxed cell (PBE, Alexandria) gives the simulated X-ray diffraction stick pattern in this record (Cu Kα).
Peak positions follow from Bragg's law for the DFT cell and can differ from measured ones.

Top 10 peaks for 2θ = 10–90°, in order of rising 2θ:
d 3.597, I 29, (0 2 4)
d 3.403, I 46, (1 3 1)
d 3.198, I 100, (1 3 2)
d 2.995, I 28, (0 2 5)
d 2.625, I 29, (1 1 5)
d 2.476, I 20, (1 5 2)
d 2.349, I 24, (0 6 3)
d 2.343, I 34, (1 5 3)
d 2.336, I 33, (2 0 0)
d 1.958, I 18, (2 2 4)

Cell lengths 4.6715, 15.6507, 16.2003 Å; angles 90.00, 90.00, 90.00 degrees
Space group Cmcm (No. 63)
Asymmetric unit:
Ba1 0.0000 0.1240 0.2500 [4 per cell]
Cd1 0.0000 0.1522 0.7500 [4 per cell]
Te1 0.0000 0.0000 0.0000 [4 per cell]
Te2 0.0000 0.2718 0.6175 [8 per cell]
Te3 0.0000 0.4534 0.2500 [4 per cell]
Pb1 0.0000 0.3716 0.0556 [8 per cell]

4.
For Tm4HgPd5, a DFT-relaxed cell (PBE, Alexandria) gives the simulated X-ray diffraction stick pattern in this record (Cu Kα).
Peak positions follow from Bragg's law for the DFT cell and can differ from measured ones.

Top 10 peaks for 2θ = 10–90°, in order of rising 2θ:
d 3.479, I 7, (1 0 0)
d 2.460, I 56, (1 1 0)
d 2.410, I 100, (1 0 5)
d 1.739, I 20, (2 0 0)
d 1.671, I 7, (0 0 10)
d 1.410, I 37, (2 1 5)
d 1.382, I 15, (1 1 10)
d 1.205, I 10, (2 0 10)
d 1.100, I 9, (3 1 0)
d 1.096, I 9, (3 0 5)

Cell lengths 3.4788, 3.4788, 16.7089 Å; angles 90.00, 90.00, 90.00 degrees
Space group P4/mmm (No. 123)
Asymmetric unit:
Tm1 0.0000 0.0000 0.1035 [2 per cell]
Tm2 0.0000 0.0000 0.3122 [2 per cell]
Hg1 0.0000 0.0000 0.5000 [1 per cell]
Pd1 0.5000 0.5000 0.0000 [1 per cell]
Pd2 0.5000 0.5000 0.2093 [2 per cell]
Pd3 0.5000 0.5000 0.4045 [2 per cell]

5.
For La12Pm5Ho2, a DFT-relaxed cell (PBE, Alexandria) gives the simulated X-ray diffraction stick pattern in this record (Cu Kα).
Peak positions follow from Bragg's law for the DFT cell and can differ from measured ones.

Top 10 peaks for 2θ = 10–90°, in order of rising 2θ:
d 3.303, I 31, (1 3 2)
d 3.066, I 24, (2 0 1)
d 2.990, I 58, (0 2 -2)
d 2.946, I 17, (1 3 3)
d 2.890, I 100, (-1 3 1)
d 2.785, I 41, (2 2 0)
d 2.643, I 22, (1 4 2)
d 2.603, I 19, (1 1 4)
d 2.099, I 12, (1 5 1)
d 1.651, I 16, (-2 4 4)

Cell lengths 6.3494, 10.9285, 10.9444 Å; angles 66.30, 79.59, 79.48 degrees
Space group P-1 (No. 2)
Asymmetric unit:
La1 0.0050 0.3831 0.3839 [2 per cell]
La2 0.1988 0.0462 0.5641 [2 per cell]
La3 0.1991 0.5628 0.0469 [2 per cell]
La4 0.2707 0.9462 0.9460 [2 per cell]
La5 0.3778 0.3514 0.8563 [2 per cell]
La6 0.3794 0.8560 0.3537 [2 per cell]
Pm1 0.1461 0.1792 0.1799 [2 per cell]
Pm2 0.4410 0.7143 0.7153 [2 per cell]
Pm3 0.5000 0.5000 0.5000 [1 per cell]
Ho1 0.0030 0.7334 0.2661 [2 per cell]

6.
For AcGd3, a DFT-relaxed cell (PBE, Alexandria) gives the simulated X-ray diffraction stick pattern in this record (Cu Kα).
Peak positions follow from Bragg's law for the DFT cell and can differ from measured ones.

Top 10 peaks for 2θ = 10–90°, in order of rising 2θ:
d 3.239, I 22, (1 0 1)
d 3.202, I 13, (0 0 2)
d 2.963, I 36, (0 4 0)
d 2.842, I 100, (1 2 1)
d 2.817, I 46, (0 2 2)
d 2.186, I 15, (1 4 1)
d 1.856, I 19, (1 0 3)
d 1.686, I 22, (1 6 1)
d 1.573, I 22, (1 4 3)
d 1.562, I 16, (2 2 2)

Cell lengths 3.7547, 11.8523, 6.4042 Å; angles 90.00, 90.00, 90.00 degrees
Space group Imm2 (No. 44)
Asymmetric unit:
Ac1 0.0000 0.0000 0.0000 [2 per cell]
Gd1 0.0000 0.2464 0.6598 [4 per cell]
Gd2 0.0000 0.5000 0.9960 [2 per cell]

7.
For K3Cu2, a DFT-relaxed cell (PBE, Alexandria) gives the simulated X-ray diffraction stick pattern in this record (Cu Kα).
Peak positions follow from Bragg's law for the DFT cell and can differ from measured ones.

Top 10 peaks for 2θ = 10–90°, in order of rising 2θ:
d 6.094, I 14, (0 0 6)
d 3.532, I 100, (0 1 5)
d 3.024, I 28, (0 1 8)
d 2.709, I 25, (1 0 10)
d 2.329, I 38, (1 1 0)
d 2.307, I 27, (1 0 13)
d 1.944, I 17, (2 0 5)
d 1.639, I 9, (0 2 13)
d 1.531, I 17, (1 1 18)
d 1.492, I 13, (1 2 5)

Cell lengths 4.6570, 4.6570, 36.5655 Å; angles 90.00, 90.00, 120.00 degrees
Space group R-3m (No. 166, hexagonal axes)
Asymmetric unit:
K1 0.0000 0.0000 0.0000 [3 per cell]
K2 0.0000 0.0000 0.2229 [6 per cell]
Cu1 0.0000 0.0000 0.3910 [6 per cell]